(1)
The following is a theoretical powder diffraction line list of Li4SiO4. It was derived from a PBE-relaxed structure, using Cu Kα (λ = 1.5418 Å).
Peak positions follow from Bragg's law for the DFT cell and can differ from measured ones.

Structural model:
Unit cell a=5.2324 b=5.3890 c=6.1431 alpha=88.55 beta=89.86 gamma=89.66
Element x y z (fractional)
Li 0.0000 0.0000 0.0000
Li 0.0139 0.5430 0.2292
Li 0.2454 0.3427 0.5156
Li 0.2668 0.8709 0.6637
Li 0.3757 0.1467 0.2113
Li 0.5703 0.1907 0.7931
Li 0.5897 0.6392 0.4679
Li 0.9834 0.5201 0.7746
Si 0.5055 0.6640 0.9920
Si 0.8537 0.0311 0.4852
O 0.3802 0.9455 0.9645
O 0.3994 0.5168 0.2136
O 0.4115 0.5252 0.7611
O 0.5356 0.0366 0.4874
O 0.8175 0.6804 0.0001
O 0.9494 0.7360 0.5036
O 0.9499 0.1727 0.7077
O 0.9930 0.1770 0.2809

Largest 12 diffraction maxima, most intense first, 10° ≤ 2θ ≤ 90°:
2theta	d_spacing	I_rel
22.3	3.993	100
33.2	2.695	87
34.3	2.616	70
21.7	4.101	67
23.8	3.742	58
28.1	3.181	49
22.3	3.978	40
34.0	2.639	30
48.7	1.871	26
33.9	2.648	25
27.6	3.237	24
16.5	5.387	24



(2)
The following is a theoretical powder diffraction line list of LiSi6O12. It was derived from a PBE-relaxed structure, using Cu Kα (λ = 1.5418 Å).
Peak positions follow from Bragg's law for the DFT cell and can differ from measured ones.

Structural model:
Unit cell a=5.1933 b=7.5198 c=7.5357 alpha=93.61 beta=109.30 gamma=109.39
Element x y z (fractional)
Li 0.0000 0.0000 0.0000
Si 0.0281 0.4066 0.1216
Si 0.4116 0.6911 0.7444
Si 0.5080 0.8201 0.1679
Si 0.5304 0.2325 0.2804
Si 0.9170 0.8679 0.5917
Si 0.9403 0.2815 0.7053
O 0.0106 0.0814 0.7255
O 0.2042 0.8084 0.6452
O 0.2194 0.2702 0.2016
O 0.2299 0.4605 0.7129
O 0.2382 0.6329 0.1694
O 0.4014 0.0060 0.1623
O 0.6024 0.7956 0.9785
O 0.6533 0.2449 0.5111
O 0.6629 0.7160 0.6509
O 0.7814 0.3798 0.2175
O 0.8016 0.8735 0.3625
O 0.8556 0.3240 0.8905

Largest 12 diffraction maxima, most intense first, 10° ≤ 2θ ≤ 90°:
2theta	d_spacing	I_rel
25.6	3.485	100
25.5	3.499	94
18.9	4.693	73
25.8	3.459	65
27.7	3.218	18
19.7	4.509	17
48.3	1.886	15
48.0	1.895	11
30.8	2.900	11
47.9	1.900	9
36.2	2.479	8
38.5	2.339	7



(3)
The following is a theoretical powder diffraction line list of Li2Si4O7. It was derived from a PBE-relaxed structure, using Cu Kα (λ = 1.5418 Å).
Peak positions follow from Bragg's law for the DFT cell and can differ from measured ones.

Structural model:
Unit cell a=9.6231 b=9.6231 c=9.6231 alpha=116.10 beta=116.10 gamma=96.90
Element x y z (fractional)
Li 0.0978 0.4097 0.0075
Li 0.1597 0.6522 0.8119
Li 0.3403 0.1522 0.4925
Li 0.4022 0.0903 0.9925
Li 0.5978 0.5903 0.6881
Li 0.6597 0.8478 0.5075
Li 0.8403 0.3478 0.1881
Li 0.9022 0.9097 0.3119
Si 0.0524 0.1090 0.1809
Si 0.1215 0.6781 0.3191
Si 0.1779 0.4573 0.4871
Si 0.2073 0.2202 0.7794
Si 0.3590 0.8024 0.6809
Si 0.4281 0.6090 0.0566
Si 0.4408 0.4279 0.2206
Si 0.4702 0.9573 0.2794
Si 0.5524 0.3715 0.9434
Si 0.6215 0.3024 0.4434
Si 0.6779 0.1908 0.7206
Si 0.7073 0.9279 0.9871
Si 0.8590 0.1781 0.5566
Si 0.9281 0.8715 0.8191
Si 0.9408 0.7202 0.0129
Si 0.9702 0.6908 0.5129
O 0.0034 0.7419 0.8718
O 0.0275 0.1547 0.5646
O 0.0487 0.9461 0.2031
O 0.0631 0.0631 0.0000
O 0.0901 0.6547 0.1272
O 0.0956 0.4930 0.2969
O 0.1961 0.7987 0.7031
O 0.2129 0.2775 0.3728
O 0.2430 0.4461 0.8974
O 0.3131 0.8131 0.5000
O 0.3701 0.2419 0.7385
O 0.3816 0.6201 0.6282
O 0.4047 0.7775 0.0646
O 0.4919 0.1201 0.2385
O 0.5034 0.6316 0.2615
O 0.5275 0.9629 0.8728
O 0.5487 0.3456 0.1026
O 0.5631 0.5631 0.0000
O 0.5901 0.4629 0.4354
O 0.5956 0.2987 0.6026
O 0.6961 0.9930 0.3974
O 0.7129 0.3401 0.9354
O 0.7430 0.8456 0.7969
O 0.8131 0.3131 0.5000
O 0.8701 0.1316 0.1282
O 0.8816 0.2534 0.7615
O 0.9047 0.8401 0.6272
O 0.9919 0.7534 0.3718

Largest 12 diffraction maxima, most intense first, 10° ≤ 2θ ≤ 90°:
2theta	d_spacing	I_rel
18.6	4.777	100
28.7	3.109	52
22.3	3.981	28
20.7	4.290	27
31.1	2.875	25
17.4	5.093	15
35.2	2.546	14
63.9	1.456	14
39.8	2.267	14
49.6	1.837	13
48.0	1.894	12
42.3	2.136	11



Copy entry 3 word for word.
The following is a theoretical powder diffraction line list of Li2Si4O7. It was derived from a PBE-relaxed structure, using Cu Kα (λ = 1.5418 Å).
Peak positions follow from Bragg's law for the DFT cell and can differ from measured ones.

Structural model:
Unit cell a=9.6231 b=9.6231 c=9.6231 alpha=116.10 beta=116.10 gamma=96.90
Element x y z (fractional)
Li 0.0978 0.4097 0.0075
Li 0.1597 0.6522 0.8119
Li 0.3403 0.1522 0.4925
Li 0.4022 0.0903 0.9925
Li 0.5978 0.5903 0.6881
Li 0.6597 0.8478 0.5075
Li 0.8403 0.3478 0.1881
Li 0.9022 0.9097 0.3119
Si 0.0524 0.1090 0.1809
Si 0.1215 0.6781 0.3191
Si 0.1779 0.4573 0.4871
Si 0.2073 0.2202 0.7794
Si 0.3590 0.8024 0.6809
Si 0.4281 0.6090 0.0566
Si 0.4408 0.4279 0.2206
Si 0.4702 0.9573 0.2794
Si 0.5524 0.3715 0.9434
Si 0.6215 0.3024 0.4434
Si 0.6779 0.1908 0.7206
Si 0.7073 0.9279 0.9871
Si 0.8590 0.1781 0.5566
Si 0.9281 0.8715 0.8191
Si 0.9408 0.7202 0.0129
Si 0.9702 0.6908 0.5129
O 0.0034 0.7419 0.8718
O 0.0275 0.1547 0.5646
O 0.0487 0.9461 0.2031
O 0.0631 0.0631 0.0000
O 0.0901 0.6547 0.1272
O 0.0956 0.4930 0.2969
O 0.1961 0.7987 0.7031
O 0.2129 0.2775 0.3728
O 0.2430 0.4461 0.8974
O 0.3131 0.8131 0.5000
O 0.3701 0.2419 0.7385
O 0.3816 0.6201 0.6282
O 0.4047 0.7775 0.0646
O 0.4919 0.1201 0.2385
O 0.5034 0.6316 0.2615
O 0.5275 0.9629 0.8728
O 0.5487 0.3456 0.1026
O 0.5631 0.5631 0.0000
O 0.5901 0.4629 0.4354
O 0.5956 0.2987 0.6026
O 0.6961 0.9930 0.3974
O 0.7129 0.3401 0.9354
O 0.7430 0.8456 0.7969
O 0.8131 0.3131 0.5000
O 0.8701 0.1316 0.1282
O 0.8816 0.2534 0.7615
O 0.9047 0.8401 0.6272
O 0.9919 0.7534 0.3718

Largest 12 diffraction maxima, most intense first, 10° ≤ 2θ ≤ 90°:
2theta	d_spacing	I_rel
18.6	4.777	100
28.7	3.109	52
22.3	3.981	28
20.7	4.290	27
31.1	2.875	25
17.4	5.093	15
35.2	2.546	14
63.9	1.456	14
39.8	2.267	14
49.6	1.837	13
48.0	1.894	12
42.3	2.136	11